Entry 1:
Computed PXRD pattern of Np3Si2Pt6 for Cu Kα, 1.54184 Å, from DFT lattice parameters and positions (PBE).
Neutral-atom scattering factors, no anomalous dispersion.

Atomic structure:
Cell lengths 8.073, 8.073, 8.073 Å; angles 109.47, 109.47, 109.47 degrees
Fractional positions:
Np 0.000 0.266 0.266
Np 0.000 0.734 0.734
Np 0.266 0.000 0.266
Np 0.266 0.266 0.000
Np 0.734 0.000 0.734
Np 0.734 0.734 0.000
Si 0.000 0.000 0.500
Si 0.000 0.500 0.000
Si 0.500 0.000 0.000
Si 0.500 0.500 0.500
Pt 0.002 0.328 0.674
Pt 0.326 0.654 0.328
Pt 0.326 0.998 0.672
Pt 0.328 0.326 0.654
Pt 0.328 0.674 0.002
Pt 0.346 0.672 0.674
Pt 0.654 0.328 0.326
Pt 0.672 0.326 0.998
Pt 0.672 0.674 0.346
Pt 0.674 0.002 0.328
Pt 0.674 0.346 0.672
Pt 0.998 0.672 0.326

Main lines, low angle first (5 to 70 degrees two-theta):
two_theta	d (Å)	Rel. int.
27.05	3.296	26
30.32	2.948	16
33.29	2.691	6
36.05	2.491	50
38.63	2.331	17
41.08	2.197	100
57.66	1.599	6
59.50	1.554	15
61.30	1.512	24
66.54	1.405	20

=====

Entry 2:
Computed PXRD pattern of NpSi3Pt3 for Cu Kα, 1.54184 Å, from DFT lattice parameters and positions (PBE).
Neutral-atom scattering factors, no anomalous dispersion.

Atomic structure:
Cell lengths 6.601, 6.601, 6.601 Å; angles 90.00, 90.00, 90.00 degrees
Fractional positions:
Np 0.000 0.000 0.000
Np 0.500 0.500 0.500
Si 0.000 0.250 0.500
Si 0.000 0.750 0.500
Si 0.250 0.500 0.000
Si 0.500 0.000 0.250
Si 0.500 0.000 0.750
Si 0.750 0.500 0.000
Pt 0.000 0.500 0.250
Pt 0.000 0.500 0.750
Pt 0.250 0.000 0.500
Pt 0.500 0.250 0.000
Pt 0.500 0.750 0.000
Pt 0.750 0.000 0.500

Main lines, low angle first (5 to 70 degrees two-theta):
two_theta	d (Å)	Rel. int.
27.02	3.301	43
30.28	2.952	66
33.25	2.695	100
47.73	1.906	11
49.81	1.831	17
51.82	1.764	58
55.70	1.650	23
62.97	1.476	16
64.71	1.440	16
66.43	1.407	14

=====

Entry 3:
Computed PXRD pattern of Np2Si6Pt21 for Cu Kα, 1.54184 Å, from DFT lattice parameters and positions (PBE).
Neutral-atom scattering factors, no anomalous dispersion.

Atomic structure:
Cell lengths 8.720, 8.720, 8.720 Å; angles 60.00, 60.00, 60.00 degrees
Fractional positions:
Np 0.250 0.250 0.250
Np 0.750 0.750 0.750
Si 0.236 0.236 0.764
Si 0.236 0.764 0.236
Si 0.236 0.764 0.764
Si 0.764 0.236 0.236
Si 0.764 0.236 0.764
Si 0.764 0.764 0.236
Pt 0.116 0.116 0.116
Pt 0.116 0.116 0.652
Pt 0.116 0.652 0.116
Pt 0.154 0.500 0.500
Pt 0.154 0.500 0.846
Pt 0.154 0.846 0.500
Pt 0.348 0.884 0.884
Pt 0.500 0.154 0.500
Pt 0.500 0.154 0.846
Pt 0.500 0.500 0.154
Pt 0.500 0.500 0.500
Pt 0.500 0.500 0.846
Pt 0.500 0.846 0.154
Pt 0.500 0.846 0.500
Pt 0.652 0.116 0.116
Pt 0.846 0.154 0.500
Pt 0.846 0.500 0.154
Pt 0.846 0.500 0.500
Pt 0.884 0.348 0.884
Pt 0.884 0.884 0.348
Pt 0.884 0.884 0.884

Main lines, low angle first (5 to 70 degrees two-theta):
two_theta	d (Å)	Rel. int.
32.47	2.757	27
35.67	2.517	30
37.91	2.373	100
41.42	2.180	26
43.41	2.084	29
44.06	2.055	9
49.00	1.859	10
62.07	1.495	9
64.07	1.453	30
65.56	1.424	15

=====

Entry 4:
Computed PXRD pattern of SmNp2Si2Pt7 for Cu Kα, 1.54184 Å, from DFT lattice parameters and positions (PBE).
Neutral-atom scattering factors, no anomalous dispersion.

Atomic structure:
Cell lengths 4.064, 4.064, 13.916 Å; angles 95.89, 95.89, 89.23 degrees
Fractional positions:
Sm 0.000 0.000 0.000
Np 0.114 0.114 0.361
Np 0.886 0.886 0.639
Si 0.408 0.408 0.744
Si 0.592 0.592 0.256
Pt 0.059 0.558 0.163
Pt 0.369 0.369 0.573
Pt 0.442 0.941 0.837
Pt 0.500 0.500 0.000
Pt 0.558 0.059 0.163
Pt 0.631 0.631 0.427
Pt 0.941 0.442 0.837

Main lines, low angle first (5 to 70 degrees two-theta):
two_theta	d (Å)	Rel. int.
32.04	2.794	50
32.51	2.754	38
34.00	2.637	38
34.44	2.604	65
35.66	2.518	84
35.94	2.498	27
37.09	2.424	100
44.64	2.030	77
44.84	2.021	27
64.47	1.445	24